Record 1
Structure and computed XRD peak list of Tl3Au2I6 (a GGA-PBE-relaxed structure; Cu Ka).
No peak broadening, texture or thermal motion is included.

Largest 6 diffraction maxima, low angle first, 2θ = 10–90°:
two_theta, I_rel, index
14.7, 89, 0 1 1
22.6, 97, 1 1 0
25.1, 100, 1 1 1
25.5, 63, 0 2 -2
27.7, 66, 0 1 -4
37.3, 67, 2 0 -1

Structural model:
```
data_Tl3Au2I6
_chemical_formula_sum 'Tl3 Au2 I6'
_cell_length_a 4.8246
_cell_length_b 7.5246
_cell_length_c 13.5560
_cell_angle_alpha 99.92
_cell_angle_beta 100.12
_cell_angle_gamma 90.02
_space_group_name_H-M_alt 'P -1'
_space_group_IT_number 2
loop_
_space_group_symop_operation_xyz
'x,y,z'
'-x,-y,-z'
loop_
_atom_site_label
_atom_site_type_symbol
_atom_site_fract_x
_atom_site_fract_y
_atom_site_fract_z
Tl1 Tl 0.0000 0.0000 0.0000
Tl2 Tl 0.1713 0.4002 0.3474
Au1 Au 0.3893 0.1996 0.7795
I1 I 0.0702 0.6432 0.1389
I2 I 0.2929 0.2749 0.5815
I3 I 0.4091 0.8448 0.8157
```

***

Record 2
Structure and computed XRD peak list of AcAlAg2S4 (a GGA-PBE-relaxed structure; Cu Ka).
No peak broadening, texture or thermal motion is included.

Largest 6 diffraction maxima, low angle first, 2θ = 10–90°:
two_theta, I_rel, index
26.6, 100, 2 2 0
28.1, 98, 2 2 -2
30.0, 95, 0 0 2
30.7, 92, 0 4 0
34.2, 74, 4 0 -2
43.5, 59, 0 4 2

Structural model:
```
data_AcAlAg2S4
_chemical_formula_sum 'Ac4 Al4 Ag8 S16'
_cell_length_a 10.5154
_cell_length_b 11.6505
_cell_length_c 7.6450
_cell_angle_alpha 90.00
_cell_angle_beta 128.85
_cell_angle_gamma 90.00
_space_group_name_H-M_alt 'C 1 2/c 1'
_space_group_IT_number 15
loop_
_space_group_symop_operation_xyz
'x,y,z'
'-x,-y,-z'
'-x,y,-z+1/2'
'x,-y,z+1/2'
'x+1/2,y+1/2,z'
'-x+1/2,-y+1/2,-z'
'-x+1/2,y+1/2,-z+1/2'
'x+1/2,-y+1/2,z+1/2'
loop_
_atom_site_label
_atom_site_type_symbol
_atom_site_fract_x
_atom_site_fract_y
_atom_site_fract_z
Ac1 Ac 0.2500 0.2500 0.0000
Al1 Al 0.0000 0.0000 0.0000
Ag1 Ag 0.0000 0.5000 0.0000
Ag2 Ag 0.2500 0.2500 0.5000
S1 S 0.0189 0.2066 0.5037
S2 S 0.2220 0.0036 0.4024
```

***

Record 3
Structure and computed XRD peak list of NaCdCuSe2 (a GGA-PBE-relaxed structure; Cu Ka).
No peak broadening, texture or thermal motion is included.

Largest 6 diffraction maxima, low angle first, 2θ = 10–90°:
two_theta, I_rel, index
13.2, 100, 1 0 0
23.9, 38, 1 1 -1
26.8, 51, 1 1 1
30.6, 37, 0 1 2
35.5, 39, 1 1 2
45.2, 43, 2 2 0

Structural model:
```
data_NaCdCuSe2
_chemical_formula_sum 'Na2 Cd2 Cu2 Se4'
_cell_length_a 6.8826
_cell_length_b 5.0074
_cell_length_c 7.3788
_cell_angle_alpha 90.00
_cell_angle_beta 102.39
_cell_angle_gamma 90.00
_space_group_name_H-M_alt 'P 1 2/c 1'
_space_group_IT_number 13
loop_
_space_group_symop_operation_xyz
'x,y,z'
'-x,-y,-z'
'-x,y,-z+1/2'
'x,-y,z+1/2'
loop_
_atom_site_label
_atom_site_type_symbol
_atom_site_fract_x
_atom_site_fract_y
_atom_site_fract_z
Na1 Na 0.0000 0.1986 0.2500
Cd1 Cd 0.5000 0.4980 0.7500
Cu1 Cu 0.5000 0.0000 0.0000
Se1 Se 0.2381 0.2861 0.9503
```

***

Record 4
Structure and computed XRD peak list of Ce2Ga2Os2C (a GGA-PBE-relaxed structure; Cu Ka).
No peak broadening, texture or thermal motion is included.

Largest 6 diffraction maxima, low angle first, 2θ = 10–90°:
two_theta, I_rel, index
16.1, 35, 2 0 -1
32.1, 90, 1 1 1
34.5, 100, 3 1 -2
37.7, 54, 3 1 0
39.2, 44, 2 0 -3
42.7, 40, 0 2 0

Structural model:
```
data_Ce2Ga2Os2C
_chemical_formula_sum 'Ce4 Ga4 Os4 C2'
_cell_length_a 11.2229
_cell_length_b 4.2314
_cell_length_c 7.1393
_cell_angle_alpha 90.00
_cell_angle_beta 129.33
_cell_angle_gamma 90.00
_space_group_name_H-M_alt 'C 1 2/m 1'
_space_group_IT_number 12
loop_
_space_group_symop_operation_xyz
'x,y,z'
'-x,-y,-z'
'-x,y,-z'
'x,-y,z'
'x+1/2,y+1/2,z'
'-x+1/2,-y+1/2,-z'
'-x+1/2,y+1/2,-z'
'x+1/2,-y+1/2,z'
loop_
_atom_site_label
_atom_site_type_symbol
_atom_site_fract_x
_atom_site_fract_y
_atom_site_fract_z
Ce1 Ce 0.0588 0.0000 0.3298
Ga1 Ga 0.1521 0.5000 0.1109
Os1 Os 0.1994 0.5000 0.8054
C1 C 0.0000 0.5000 0.5000
```

***

Record 5
Structure and computed XRD peak list of Ga2TePdO8 (a GGA-PBE-relaxed structure; Cu Ka).
No peak broadening, texture or thermal motion is included.

Largest 6 diffraction maxima, low angle first, 2θ = 10–90°:
two_theta, I_rel, index
27.9, 100, 2 0 0
33.1, 93, 1 1 2
39.8, 19, 2 2 0
52.7, 69, 3 1 2
68.0, 20, 3 3 2
89.7, 19, 1 1 6

Structural model:
```
data_Ga2TePdO8
_chemical_formula_sum 'Ga4 Te2 Pd2 O16'
_cell_length_a 6.4045
_cell_length_b 6.4045
_cell_length_c 6.7589
_cell_angle_alpha 90.00
_cell_angle_beta 90.00
_cell_angle_gamma 90.00
_space_group_name_H-M_alt 'I -4 m 2'
_space_group_IT_number 119
_space_group_name_Hall 'I -4 -2'
loop_
_atom_site_label
_atom_site_type_symbol
_atom_site_fract_x
_atom_site_fract_y
_atom_site_fract_z
Ga1 Ga 0.0000 0.0000 0.0000
Ga2 Ga 0.0000 0.5000 0.2500
Te1 Te 0.0000 0.0000 0.5000
Pd1 Pd 0.0000 0.5000 0.7500
O1 O 0.0000 0.1842 0.7817
O2 O 0.0000 0.2992 0.4423
```

***

Record 6
Structure and computed XRD peak list of Tb7Nd2 (a GGA-PBE-relaxed structure; Cu Ka).
No peak broadening, texture or thermal motion is included.

Largest 6 diffraction maxima, low angle first, 2θ = 10–90°:
two_theta, I_rel, index
30.5, 100, 1 1 1
35.4, 51, 2 -1 2
50.9, 36, 3 0 0
60.6, 43, 3 0 3
83.0, 13, 4 1 1
85.7, 17, 5 -1 2

Structural model:
```
data_Tb7Nd2
_chemical_formula_sum 'Tb7 Nd2'
_cell_length_a 6.2144
_cell_length_b 6.2144
_cell_length_c 8.7741
_cell_angle_alpha 90.00
_cell_angle_beta 90.00
_cell_angle_gamma 120.00
_space_group_name_H-M_alt 'P -3 1 m'
_space_group_IT_number 162
_space_group_name_Hall '-P 3 2'
loop_
_atom_site_label
_atom_site_type_symbol
_atom_site_fract_x
_atom_site_fract_y
_atom_site_fract_z
Tb1 Tb 0.0000 0.0000 0.0000
Tb2 Tb 0.0000 0.3325 0.6643
Nd1 Nd 0.3333 0.6667 0.0000
```